MnSb6Ir: simulated XRD peak list (Cu Kα X-rays), based on a GGA-PBE-relaxed structure.
No peak broadening, texture or thermal motion is included.

Most intense lines, 15° ≤ 2θ ≤ 90°, in order of rising 2θ:
Position (°2θ)	d (Å)	I/Imax
18.92	4.689	20
23.24	3.828	16
30.13	2.966	100
35.82	2.507	33
40.80	2.212	11
43.13	2.097	42
47.48	1.915	26
49.53	1.840	18
49.61	1.838	10
57.23	1.610	11
67.72	1.384	8
88.45	1.105	10

Atomic structure:
```
data_MnSb6Ir
_chemical_formula_sum 'Mn2 Sb12 Ir2'
_cell_length_a 8.115
_cell_length_b 8.115
_cell_length_c 9.372
_cell_angle_alpha 125.17
_cell_angle_beta 125.17
_cell_angle_gamma 70.60
_space_group_name_H-M_alt 'P 1'
_space_group_IT_number 1
loop_
_space_group_symop_operation_xyz
'x,y,z'
loop_
_atom_site_label
_atom_site_fract_x
_atom_site_fract_y
_atom_site_fract_z
_atom_site_occupancy
Mn1 0.000 0.500 0.000 1
Mn2 0.500 0.000 0.000 1
Sb1 0.153 0.843 0.337 1
Sb2 0.157 0.847 0.663 1
Sb3 0.183 0.507 0.847 1
Sb4 0.338 0.338 0.491 1
Sb5 0.339 0.339 0.181 1
Sb6 0.493 0.817 0.153 1
Sb7 0.507 0.183 0.847 1
Sb8 0.661 0.661 0.819 1
Sb9 0.662 0.662 0.509 1
Sb10 0.817 0.493 0.153 1
Sb11 0.843 0.153 0.337 1
Sb12 0.847 0.157 0.663 1
Ir1 0.000 0.500 0.500 1
Ir2 0.500 0.000 0.500 1
```



Mn3SiIr: simulated XRD peak list (Cu Kα X-rays), based on a GGA-PBE-relaxed structure.
No peak broadening, texture or thermal motion is included.

Most intense lines, 15° ≤ 2θ ≤ 90°, in order of rising 2θ:
Position (°2θ)	d (Å)	I/Imax
19.79	4.487	20
24.30	3.663	50
28.13	3.173	30
31.53	2.838	37
42.75	2.115	100
45.19	2.007	67
47.53	1.913	28
54.08	1.696	34
60.12	1.539	17
76.56	1.244	38
81.73	1.178	26
83.44	1.158	11

Atomic structure:
```
data_Mn3SiIr
_chemical_formula_sum 'Mn12 Si4 Ir4'
_cell_length_a 6.345
_cell_length_b 6.345
_cell_length_c 6.345
_cell_angle_alpha 90.00
_cell_angle_beta 90.00
_cell_angle_gamma 90.00
_space_group_name_H-M_alt 'P 1'
_space_group_IT_number 1
loop_
_space_group_symop_operation_xyz
'x,y,z'
loop_
_atom_site_label
_atom_site_fract_x
_atom_site_fract_y
_atom_site_fract_z
_atom_site_occupancy
Mn1 0.049 0.130 0.789 1
Mn2 0.130 0.789 0.049 1
Mn3 0.211 0.549 0.370 1
Mn4 0.289 0.451 0.870 1
Mn5 0.370 0.211 0.549 1
Mn6 0.451 0.870 0.289 1
Mn7 0.549 0.370 0.211 1
Mn8 0.630 0.711 0.951 1
Mn9 0.711 0.951 0.630 1
Mn10 0.789 0.049 0.130 1
Mn11 0.870 0.289 0.451 1
Mn12 0.951 0.630 0.711 1
Si1 0.059 0.941 0.441 1
Si2 0.441 0.059 0.941 1
Si3 0.559 0.559 0.559 1
Si4 0.941 0.441 0.059 1
Ir1 0.188 0.188 0.188 1
Ir2 0.312 0.812 0.688 1
Ir3 0.688 0.312 0.812 1
Ir4 0.812 0.688 0.312 1
```



Mn2SiIr: simulated XRD peak list (Cu Kα X-rays), based on a GGA-PBE-relaxed structure.
No peak broadening, texture or thermal motion is included.

Most intense lines, 15° ≤ 2θ ≤ 90°, in order of rising 2θ:
Position (°2θ)	d (Å)	I/Imax
21.16	4.199	100
23.78	3.742	16
39.74	2.268	42
40.29	2.239	20
41.29	2.187	78
43.09	2.099	69
48.67	1.871	24
49.34	1.847	46
53.19	1.722	18
71.82	1.314	29
85.66	1.134	18
89.29	1.097	17

Atomic structure:
```
data_Mn2SiIr
_chemical_formula_sum 'Mn2 Si1 Ir1'
_cell_length_a 4.521
_cell_length_b 4.521
_cell_length_c 2.695
_cell_angle_alpha 90.00
_cell_angle_beta 90.00
_cell_angle_gamma 111.74
_space_group_name_H-M_alt 'P 1'
_space_group_IT_number 1
loop_
_space_group_symop_operation_xyz
'x,y,z'
loop_
_atom_site_label
_atom_site_fract_x
_atom_site_fract_y
_atom_site_fract_z
_atom_site_occupancy
Mn1 0.000 0.500 0.000 1
Mn2 0.500 0.000 0.000 1
Si1 0.000 0.000 0.500 1
Ir1 0.500 0.500 0.500 1
```



TaMn2Ir: simulated XRD peak list (Cu Kα X-rays), based on a GGA-PBE-relaxed structure.
No peak broadening, texture or thermal motion is included.

Most intense lines, 15° ≤ 2θ ≤ 90°, in order of rising 2θ:
Position (°2θ)	d (Å)	I/Imax
26.28	3.391	44
40.89	2.207	100
41.63	2.169	14
45.44	1.996	18
48.62	1.873	30
56.10	1.639	12
65.89	1.418	8
68.73	1.366	21
71.20	1.324	10
80.84	1.189	13
85.52	1.136	24
88.63	1.103	11

Atomic structure:
```
data_TaMn2Ir
_chemical_formula_sum 'Ta1 Mn2 Ir1'
_cell_length_a 4.791
_cell_length_b 4.791
_cell_length_c 4.791
_cell_angle_alpha 133.98
_cell_angle_beta 133.98
_cell_angle_gamma 67.13
_space_group_name_H-M_alt 'P 1'
_space_group_IT_number 1
loop_
_space_group_symop_operation_xyz
'x,y,z'
loop_
_atom_site_label
_atom_site_fract_x
_atom_site_fract_y
_atom_site_fract_z
_atom_site_occupancy
Ta1 0.000 0.000 0.000 1
Mn1 0.500 0.500 0.000 1
Mn2 0.750 0.250 0.500 1
Ir1 0.250 0.750 0.500 1
```



MnTcIr2: simulated XRD peak list (Cu Kα X-rays), based on a GGA-PBE-relaxed structure.
No peak broadening, texture or thermal motion is included.

Most intense lines, 15° ≤ 2θ ≤ 90°, in order of rising 2θ:
Position (°2θ)	d (Å)	I/Imax
20.47	4.338	30
38.41	2.344	20
40.31	2.237	100
41.64	2.169	31
47.29	1.922	63
52.03	1.758	9
68.17	1.376	21
70.03	1.344	19
82.27	1.172	13
83.15	1.162	25
84.90	1.142	11
87.12	1.119	11

Atomic structure:
```
data_MnTcIr2
_chemical_formula_sum 'Mn1 Tc1 Ir2'
_cell_length_a 8.820
_cell_length_b 8.820
_cell_length_c 8.820
_cell_angle_alpha 17.95
_cell_angle_beta 17.95
_cell_angle_gamma 17.95
_space_group_name_H-M_alt 'P 1'
_space_group_IT_number 1
loop_
_space_group_symop_operation_xyz
'x,y,z'
loop_
_atom_site_label
_atom_site_fract_x
_atom_site_fract_y
_atom_site_fract_z
_atom_site_occupancy
Mn1 0.000 0.000 0.000 1
Tc1 0.500 0.500 0.500 1
Ir1 0.251 0.251 0.251 1
Ir2 0.749 0.749 0.749 1
```



MnTcIr2: simulated XRD peak list (Cu Kα X-rays), based on a GGA-PBE-relaxed structure.
No peak broadening, texture or thermal motion is included.

Most intense lines, 15° ≤ 2θ ≤ 90°, in order of rising 2θ:
Position (°2θ)	d (Å)	I/Imax
16.42	5.398	16
28.69	3.111	14
37.20	2.417	7
40.96	2.203	100
44.39	2.041	6
47.61	1.910	32
47.78	1.904	16
69.73	1.349	25
84.06	1.151	24
84.31	1.149	12
88.77	1.102	6
88.89	1.101	5

Atomic structure:
```
data_MnTcIr2
_chemical_formula_sum 'Mn1 Tc1 Ir2'
_cell_length_a 2.703
_cell_length_b 3.808
_cell_length_c 5.398
_cell_angle_alpha 90.00
_cell_angle_beta 90.00
_cell_angle_gamma 90.00
_space_group_name_H-M_alt 'P 1'
_space_group_IT_number 1
loop_
_space_group_symop_operation_xyz
'x,y,z'
loop_
_atom_site_label
_atom_site_fract_x
_atom_site_fract_y
_atom_site_fract_z
_atom_site_occupancy
Mn1 0.000 0.000 0.000 1
Tc1 0.500 0.500 0.254 1
Ir1 0.000 0.000 0.499 1
Ir2 0.500 0.500 0.772 1
```



MnTcIr2: simulated XRD peak list (Cu Kα X-rays), based on a GGA-PBE-relaxed structure.
No peak broadening, texture or thermal motion is included.

Most intense lines, 15° ≤ 2θ ≤ 90°, in order of rising 2θ:
Position (°2θ)	d (Å)	I/Imax
20.00	4.439	33
38.96	2.312	13
40.70	2.217	100
41.08	2.197	32
47.42	1.917	43
47.56	1.912	21
69.12	1.359	21
69.72	1.349	13
83.38	1.159	8
83.51	1.158	12
83.67	1.156	8
83.84	1.154	8

Atomic structure:
```
data_MnTcIr2
_chemical_formula_sum 'Mn1 Tc1 Ir2'
_cell_length_a 4.704
_cell_length_b 4.704
_cell_length_c 4.660
_cell_angle_alpha 99.34
_cell_angle_beta 99.34
_cell_angle_gamma 33.58
_space_group_name_H-M_alt 'P 1'
_space_group_IT_number 1
loop_
_space_group_symop_operation_xyz
'x,y,z'
loop_
_atom_site_label
_atom_site_fract_x
_atom_site_fract_y
_atom_site_fract_z
_atom_site_occupancy
Mn1 0.000 0.000 0.000 1
Tc1 0.500 0.500 0.500 1
Ir1 0.249 0.249 0.750 1
Ir2 0.751 0.751 0.250 1
```



MnTe2Ir: simulated XRD peak list (Cu Kα X-rays), based on a GGA-PBE-relaxed structure.
No peak broadening, texture or thermal motion is included.

Most intense lines, 15° ≤ 2θ ≤ 90°, in order of rising 2θ:
Position (°2θ)	d (Å)	I/Imax
22.92	3.880	16
26.73	3.335	100
35.50	2.529	52
35.97	2.497	15
41.53	2.174	14
43.08	2.100	82
46.74	1.943	17
46.91	1.937	17
47.96	1.897	17
54.68	1.679	14
54.80	1.675	14
84.21	1.150	12

Atomic structure:
```
data_MnTe2Ir
_chemical_formula_sum 'Mn1 Te2 Ir1'
_cell_length_a 3.873
_cell_length_b 3.887
_cell_length_c 6.523
_cell_angle_alpha 90.00
_cell_angle_beta 90.00
_cell_angle_gamma 90.00
_space_group_name_H-M_alt 'P 1'
_space_group_IT_number 1
loop_
_space_group_symop_operation_xyz
'x,y,z'
loop_
_atom_site_label
_atom_site_fract_x
_atom_site_fract_y
_atom_site_fract_z
_atom_site_occupancy
Mn1 0.000 0.000 0.000 1
Te1 0.000 0.500 0.722 1
Te2 0.500 0.000 0.279 1
Ir1 0.500 0.500 0.001 1
```



MnV2Ir3: simulated XRD peak list (Cu Kα X-rays), based on a GGA-PBE-relaxed structure.
No peak broadening, texture or thermal motion is included.

Most intense lines, 15° ≤ 2θ ≤ 90°, in order of rising 2θ:
Position (°2θ)	d (Å)	I/Imax
24.28	3.666	31
32.72	2.737	30
41.16	2.193	100
46.76	1.943	17
47.14	1.928	17
49.74	1.833	14
60.82	1.523	11
68.57	1.368	11
82.93	1.164	13
83.49	1.158	13
87.40	1.116	12
89.34	1.097	11

Atomic structure:
```
data_MnV2Ir3
_chemical_formula_sum 'Mn1 V2 Ir3'
_cell_length_a 6.139
_cell_length_b 6.139
_cell_length_c 3.666
_cell_angle_alpha 90.00
_cell_angle_beta 90.00
_cell_angle_gamma 143.39
_space_group_name_H-M_alt 'P 1'
_space_group_IT_number 1
loop_
_space_group_symop_operation_xyz
'x,y,z'
loop_
_atom_site_label
_atom_site_fract_x
_atom_site_fract_y
_atom_site_fract_z
_atom_site_occupancy
Mn1 0.000 0.000 0.000 1
V1 0.337 0.663 0.000 1
V2 0.663 0.337 0.000 1
Ir1 0.166 0.834 0.500 1
Ir2 0.500 0.500 0.500 1
Ir3 0.834 0.166 0.500 1
```



MnV3Ir6: simulated XRD peak list (Cu Kα X-rays), based on a GGA-PBE-relaxed structure.
No peak broadening, texture or thermal motion is included.

Most intense lines, 15° ≤ 2θ ≤ 90°, in order of rising 2θ:
Position (°2θ)	d (Å)	I/Imax
28.10	3.175	32
32.89	2.723	13
38.12	2.361	10
38.38	2.345	28
41.85	2.159	40
43.70	2.071	56
43.93	2.061	100
58.08	1.588	17
77.71	1.229	10
77.87	1.227	19
84.04	1.152	11
84.20	1.150	10

Atomic structure:
```
data_MnV3Ir6
_chemical_formula_sum 'Mn2 V6 Ir12'
_cell_length_a 7.207
_cell_length_b 4.317
_cell_length_c 9.393
_cell_angle_alpha 90.00
_cell_angle_beta 109.51
_cell_angle_gamma 90.00
_space_group_name_H-M_alt 'P 1'
_space_group_IT_number 1
loop_
_space_group_symop_operation_xyz
'x,y,z'
loop_
_atom_site_label
_atom_site_fract_x
_atom_site_fract_y
_atom_site_fract_z
_atom_site_occupancy
Mn1 0.092 0.250 0.065 1
Mn2 0.908 0.750 0.935 1
V1 0.087 0.750 0.737 1
V2 0.300 0.750 0.532 1
V3 0.305 0.250 0.870 1
V4 0.695 0.750 0.130 1
V5 0.700 0.250 0.468 1
V6 0.913 0.250 0.263 1
Ir1 0.089 0.750 0.223 1
Ir2 0.108 0.250 0.572 1
Ir3 0.285 0.750 0.027 1
Ir4 0.298 0.250 0.365 1
Ir5 0.498 0.750 0.332 1
Ir6 0.499 0.750 0.832 1
Ir7 0.501 0.250 0.168 1
Ir8 0.502 0.250 0.668 1
Ir9 0.702 0.750 0.635 1
Ir10 0.715 0.250 0.973 1
Ir11 0.892 0.750 0.428 1
Ir12 0.911 0.250 0.777 1
```



MnV2Ir4: simulated XRD peak list (Cu Kα X-rays), based on a GGA-PBE-relaxed structure.
No peak broadening, texture or thermal motion is included.

Most intense lines, 15° ≤ 2θ ≤ 90°, in order of rising 2θ:
Position (°2θ)	d (Å)	I/Imax
26.83	3.323	33
32.25	2.776	47
42.43	2.131	100
45.26	2.004	21
47.23	1.925	19
53.40	1.716	11
55.15	1.665	10
55.29	1.661	9
65.47	1.426	9
67.48	1.388	13
81.61	1.180	14
84.47	1.147	13

Atomic structure:
```
data_MnV2Ir4
_chemical_formula_sum 'Mn1 V2 Ir4'
_cell_length_a 5.206
_cell_length_b 5.206
_cell_length_c 3.849
_cell_angle_alpha 90.00
_cell_angle_beta 90.00
_cell_angle_gamma 100.67
_space_group_name_H-M_alt 'P 1'
_space_group_IT_number 1
loop_
_space_group_symop_operation_xyz
'x,y,z'
loop_
_atom_site_label
_atom_site_fract_x
_atom_site_fract_y
_atom_site_fract_z
_atom_site_occupancy
Mn1 0.000 0.000 0.000 1
V1 0.235 0.765 0.500 1
V2 0.765 0.235 0.500 1
Ir1 0.000 0.500 0.000 1
Ir2 0.281 0.281 0.500 1
Ir3 0.500 0.000 0.000 1
Ir4 0.719 0.719 0.500 1
```



MnIrW2: simulated XRD peak list (Cu Kα X-rays), based on a GGA-PBE-relaxed structure.
No peak broadening, texture or thermal motion is included.

Most intense lines, 15° ≤ 2θ ≤ 90°, in order of rising 2θ:
Position (°2θ)	d (Å)	I/Imax
19.80	4.485	9
39.98	2.255	33
40.17	2.245	100
46.39	1.957	21
46.80	1.941	44
67.86	1.381	13
68.19	1.375	13
68.39	1.372	7
81.73	1.178	7
82.12	1.174	8
82.27	1.172	8
82.43	1.170	17

Atomic structure:
```
data_MnIrW2
_chemical_formula_sum 'Mn1 Ir1 W2'
_cell_length_a 4.753
_cell_length_b 4.753
_cell_length_c 4.796
_cell_angle_alpha 99.40
_cell_angle_beta 99.40
_cell_angle_gamma 33.54
_space_group_name_H-M_alt 'P 1'
_space_group_IT_number 1
loop_
_space_group_symop_operation_xyz
'x,y,z'
loop_
_atom_site_label
_atom_site_fract_x
_atom_site_fract_y
_atom_site_fract_z
_atom_site_occupancy
Mn1 0.000 0.000 0.000 1
Ir1 0.741 0.741 0.271 1
W1 0.251 0.251 0.788 1
W2 0.489 0.489 0.489 1
```